Entry 1:
This entry pairs a crystal structure of Na3P6Pb2O18 with its theoretical X-ray diffraction stick pattern. Radiation: Cu Kα, 1.54184 Å. Structure: DFT lattice parameters and positions (PBE).

Top 10 peaks for 15° ≤ 2θ ≤ 90°, low angle first:
2theta, Rel. int.
19.76, 96
23.03, 100
26.14, 74
26.25, 88
28.99, 71
29.46, 66
30.09, 53
34.90, 44
35.08, 50
36.37, 54

Lattice parameters (Å, degrees): 7.8816 8.0794 8.1643 103.66 97.62 116.57
Atoms (fractional coordinates):
1 Na 0.0000 0.0000 0.0000
2 Na 0.1375 0.4513 0.3497
3 Na 0.8625 0.5487 0.6503
4 P 0.1331 0.3253 0.7345
5 P 0.2676 0.7162 0.9807
6 P 0.4974 0.6612 0.7434
7 P 0.5026 0.3388 0.2566
8 P 0.7324 0.2838 0.0193
9 P 0.8669 0.6747 0.2655
10 Pb 0.3387 0.9798 0.6225
11 Pb 0.6613 0.0202 0.3775
12 O 0.0019 0.3334 0.5866
13 O 0.0876 0.1341 0.7581
14 O 0.1513 0.7804 0.8771
15 O 0.1580 0.4776 0.9192
16 O 0.2935 0.2905 0.2305
17 O 0.3234 0.7911 0.1775
18 O 0.3602 0.4293 0.7169
19 O 0.4012 0.7053 0.5981
20 O 0.4739 0.7676 0.9273
21 O 0.5261 0.2324 0.0727
22 O 0.5988 0.2947 0.4019
23 O 0.6398 0.5707 0.2831
24 O 0.6766 0.2089 0.8225
25 O 0.7065 0.7095 0.7695
26 O 0.8420 0.5224 0.0808
27 O 0.8487 0.2196 0.1229
28 O 0.9124 0.8659 0.2419
29 O 0.9981 0.6666 0.4134

---

Entry 2:
This entry pairs a crystal structure of Ca6Zn23 with its theoretical X-ray diffraction stick pattern. Radiation: Cu Kα, 1.54184 Å. Structure: DFT lattice parameters and positions (PBE).

Top 10 peaks for 15° ≤ 2θ ≤ 90°, low angle first:
2theta, Rel. int.
34.11, 10
36.25, 37
39.59, 100
41.49, 34
44.50, 12
46.23, 16
46.80, 20
71.84, 21
73.13, 15
85.28, 11

Lattice parameters (Å, degrees): 9.1049 9.1049 9.1049 60.00 60.00 60.00
Atoms (fractional coordinates):
1 Ca 0.2107 0.2107 0.7893
2 Ca 0.2107 0.7893 0.2107
3 Ca 0.2107 0.7893 0.7893
4 Ca 0.7893 0.2107 0.2107
5 Ca 0.7893 0.2107 0.7893
6 Ca 0.7893 0.7893 0.2107
7 Zn 0.0000 0.0000 0.5000
8 Zn 0.0000 0.5000 0.0000
9 Zn 0.0000 0.5000 0.5000
10 Zn 0.1300 0.6233 0.6233
11 Zn 0.1732 0.1732 0.1732
12 Zn 0.1732 0.1732 0.4805
13 Zn 0.1732 0.4805 0.1732
14 Zn 0.3767 0.3767 0.3767
15 Zn 0.3767 0.3767 0.8700
16 Zn 0.3767 0.8700 0.3767
17 Zn 0.4805 0.1732 0.1732
18 Zn 0.5000 0.0000 0.0000
19 Zn 0.5000 0.0000 0.5000
20 Zn 0.5000 0.5000 0.0000
21 Zn 0.5000 0.5000 0.5000
22 Zn 0.5195 0.8268 0.8268
23 Zn 0.6233 0.1300 0.6233
24 Zn 0.6233 0.6233 0.1300
25 Zn 0.6233 0.6233 0.6233
26 Zn 0.8268 0.5195 0.8268
27 Zn 0.8268 0.8268 0.5195
28 Zn 0.8268 0.8268 0.8268
29 Zn 0.8700 0.3767 0.3767

---

Entry 3:
This entry pairs a crystal structure of KIn6Ag3 with its theoretical X-ray diffraction stick pattern. Radiation: Cu Kα, 1.54184 Å. Structure: DFT lattice parameters and positions (PBE).

Top 10 peaks for 15° ≤ 2θ ≤ 90°, low angle first:
2theta, Rel. int.
29.58, 33
31.68, 41
33.37, 41
34.26, 21
36.76, 81
38.13, 100
38.24, 68
39.03, 58
50.49, 25
67.15, 30

Lattice parameters (Å, degrees): 8.1844 4.8896 13.4691 90.00 104.57 90.00
Atoms (fractional coordinates):
1 K 0.0352 0.2500 0.2279
2 K 0.9648 0.7500 0.7721
3 In 0.1374 0.2500 0.5920
4 In 0.2676 0.7500 0.0642
5 In 0.3065 0.2500 0.8420
6 In 0.3739 0.7500 0.7077
7 In 0.3817 0.7500 0.2946
8 In 0.3866 0.2500 0.4442
9 In 0.6134 0.7500 0.5558
10 In 0.6183 0.2500 0.7054
11 In 0.6261 0.2500 0.2923
12 In 0.6935 0.7500 0.1580
13 In 0.7324 0.2500 0.9358
14 In 0.8626 0.7500 0.4080
15 Ag 0.0928 0.2500 0.9824
16 Ag 0.2201 0.7500 0.4766
17 Ag 0.4755 0.2500 0.0641
18 Ag 0.5245 0.7500 0.9359
19 Ag 0.7799 0.2500 0.5234
20 Ag 0.9072 0.7500 0.0176